Record 1
Structure and calculated X-ray diffraction stick pattern of Na4Ca2SnP4 (a cell relaxed with GGA-PBE; λ = 1.5418 Å (Cu Kα)).
Peak positions follow from Bragg's law for the DFT cell and can differ from measured ones.

Largest 10 diffraction maxima, by angle, 5° ≤ 2θ ≤ 70°:
2θ/deg, I/Imax, index
10.81, 100, 1 1 0
16.20, 36, 1 1 -1
16.49, 23, 0 2 1
16.79, 19, 1 1 1
18.78, 22, 2 0 0
31.09, 25, 3 1 -1
31.71, 26, 1 5 1
32.05, 18, 3 1 1
38.07, 49, 2 6 0
38.13, 22, 4 0 0

Atomic structure:
```
data_Na4Ca2SnP4
_chemical_formula_sum 'Na16 Ca8 Sn4 P16'
_symmetry_space_group_name_H-M 'C 1 c 1'
_symmetry_Int_Tables_number 9
_symmetry_space_group_name_Hall 'C -2yc'
_cell_length_a 9.450
_cell_length_b 16.382
_cell_length_c 7.132
_cell_angle_alpha 90.00
_cell_angle_beta 92.37
_cell_angle_gamma 90.00
loop_
_atom_site_label
_atom_site_fract_x
_atom_site_fract_y
_atom_site_fract_z
Na1 0.000 0.073 0.000
Na2 0.072 0.423 0.536
Na3 0.087 0.232 0.692
Na4 0.293 0.355 0.020
Ca1 0.281 0.028 0.691
Ca2 0.493 0.236 0.699
Sn1 0.294 0.167 0.310
P1 0.002 0.410 0.953
P2 0.072 0.091 0.402
P3 0.283 0.311 0.424
P4 0.293 0.162 0.953
```

=====

Record 2
Structure and calculated X-ray diffraction stick pattern of NaCaPb2 (a cell relaxed with GGA-PBE; λ = 1.5418 Å (Cu Kα)).
Peak positions follow from Bragg's law for the DFT cell and can differ from measured ones.

Largest 7 diffraction maxima, by angle, 5° ≤ 2θ ≤ 70°:
2θ/deg, I/Imax, index
22.74, 60, 2 0 0
32.37, 100, 2 2 0
39.93, 20, 2 2 2
46.44, 19, 4 0 0
52.31, 28, 4 2 0
57.75, 39, 4 2 2
67.77, 12, 4 4 0

Atomic structure:
```
data_NaCaPb2
_chemical_formula_sum 'Na4 Ca4 Pb8'
_symmetry_space_group_name_H-M 'F m -3 m'
_symmetry_Int_Tables_number 225
_symmetry_space_group_name_Hall '-F 4 2 3'
_cell_length_a 7.822
_cell_length_b 7.822
_cell_length_c 7.822
_cell_angle_alpha 90.00
_cell_angle_beta 90.00
_cell_angle_gamma 90.00
loop_
_atom_site_label
_atom_site_fract_x
_atom_site_fract_y
_atom_site_fract_z
Na1 0.000 0.000 0.000
Ca1 0.000 0.000 0.500
Pb1 0.250 0.250 0.250
```

=====

Record 3
Structure and calculated X-ray diffraction stick pattern of Na4SrCaSi2 (a cell relaxed with GGA-PBE; λ = 1.5418 Å (Cu Kα)).
Peak positions follow from Bragg's law for the DFT cell and can differ from measured ones.

Largest 10 diffraction maxima, by angle, 5° ≤ 2θ ≤ 70°:
2θ/deg, I/Imax, index
16.73, 7, 1 0 0
20.59, 30, 1 0 1
23.75, 8, 1 1 0
33.83, 51, 2 0 0
33.98, 100, 1 1 2
39.93, 10, 2 1 1
48.60, 17, 2 2 0
49.03, 8, 0 0 4
60.62, 34, 3 1 2
60.90, 17, 2 0 4

Atomic structure:
```
data_Na4SrCaSi2
_chemical_formula_sum 'Na4 Sr1 Ca1 Si2'
_symmetry_space_group_name_H-M 'P -4 m 2'
_symmetry_Int_Tables_number 115
_symmetry_space_group_name_Hall 'P -4 -2'
_cell_length_a 5.299
_cell_length_b 5.299
_cell_length_c 7.432
_cell_angle_alpha 90.00
_cell_angle_beta 90.00
_cell_angle_gamma 90.00
loop_
_atom_site_label
_atom_site_fract_x
_atom_site_fract_y
_atom_site_fract_z
Na1 0.000 0.000 0.000
Na2 0.000 0.500 0.243
Na3 0.500 0.500 0.500
Sr1 0.000 0.000 0.500
Ca1 0.500 0.500 0.000
Si1 0.000 0.500 0.758
```

=====

Record 4
Structure and calculated X-ray diffraction stick pattern of NaCa2Tl (a cell relaxed with GGA-PBE; λ = 1.5418 Å (Cu Kα)).
Peak positions follow from Bragg's law for the DFT cell and can differ from measured ones.

Largest 10 diffraction maxima, by angle, 5° ≤ 2θ ≤ 70°:
2θ/deg, I/Imax, index
19.36, 71, 1 1 1
22.39, 23, 2 0 0
31.87, 100, 2 2 0
37.56, 41, 3 1 1
45.69, 18, 4 0 0
50.06, 19, 3 3 1
51.45, 11, 4 2 0
56.78, 37, 4 2 2
60.57, 14, 5 1 1
66.60, 11, 4 4 0

Atomic structure:
```
data_NaCa2Tl
_chemical_formula_sum 'Na4 Ca8 Tl4'
_symmetry_space_group_name_H-M 'F m -3 m'
_symmetry_Int_Tables_number 225
_symmetry_space_group_name_Hall '-F 4 2 3'
_cell_length_a 7.943
_cell_length_b 7.943
_cell_length_c 7.943
_cell_angle_alpha 90.00
_cell_angle_beta 90.00
_cell_angle_gamma 90.00
loop_
_atom_site_label
_atom_site_fract_x
_atom_site_fract_y
_atom_site_fract_z
Na1 0.000 0.000 0.000
Ca1 0.250 0.250 0.250
Tl1 0.000 0.000 0.500
```

=====

Record 5
Structure and calculated X-ray diffraction stick pattern of CaNbO3 (a cell relaxed with GGA-PBE; λ = 1.5418 Å (Cu Kα)).
Peak positions follow from Bragg's law for the DFT cell and can differ from measured ones.

Largest 10 diffraction maxima, by angle, 5° ≤ 2θ ≤ 70°:
2θ/deg, I/Imax, index
22.30, 58, 1 0 1
31.30, 25, 2 0 0
31.73, 100, 1 2 1
32.21, 24, 0 0 2
45.49, 48, 0 4 0
51.22, 18, 2 2 2
55.98, 17, 3 2 1
56.21, 11, 2 4 0
57.12, 25, 1 2 3
66.28, 16, 2 4 2

Atomic structure:
```
data_CaNbO3
_chemical_formula_sum 'Ca4 Nb4 O12'
_symmetry_space_group_name_H-M 'P n m a'
_symmetry_Int_Tables_number 62
_symmetry_space_group_name_Hall '-P 2ac 2n'
_cell_length_a 5.716
_cell_length_b 7.983
_cell_length_c 5.559
_cell_angle_alpha 90.00
_cell_angle_beta 90.00
_cell_angle_gamma 90.00
loop_
_atom_site_label
_atom_site_fract_x
_atom_site_fract_y
_atom_site_fract_z
Ca1 0.052 0.250 0.009
Nb1 0.000 0.000 0.500
O1 0.028 0.750 0.412
O2 0.203 0.546 0.801
```

=====

Record 6
Structure and calculated X-ray diffraction stick pattern of Ca3NbO6 (a cell relaxed with GGA-PBE; λ = 1.5418 Å (Cu Kα)).
Peak positions follow from Bragg's law for the DFT cell and can differ from measured ones.

Largest 10 diffraction maxima, by angle, 5° ≤ 2θ ≤ 70°:
2θ/deg, I/Imax, index
18.49, 47, 0 1 1
21.63, 39, 1 1 -1
30.08, 45, 0 2 0
30.83, 100, 1 1 1
31.02, 97, 1 1 -3
31.46, 40, 2 0 -2
44.08, 53, 2 2 -2
44.51, 28, 0 0 4
55.50, 29, 3 1 -1
55.82, 39, 2 0 -6

Atomic structure:
```
data_Ca3NbO6
_chemical_formula_sum 'Ca6 Nb2 O12'
_symmetry_space_group_name_H-M 'P 1 21/c 1'
_symmetry_Int_Tables_number 14
_symmetry_space_group_name_Hall '-P 2ybc'
_cell_length_a 5.687
_cell_length_b 5.942
_cell_length_c 9.893
_cell_angle_alpha 90.00
_cell_angle_beta 124.62
_cell_angle_gamma 90.00
loop_
_atom_site_label
_atom_site_fract_x
_atom_site_fract_y
_atom_site_fract_z
Ca1 0.000 0.000 0.000
Ca2 0.226 0.058 0.742
Nb1 0.500 0.000 0.500
O1 0.154 0.177 0.444
O2 0.256 0.716 0.426
O3 0.393 0.059 0.270
```